Computed powder XRD pattern
Compound: Cs3SeI6
Radiation: Cu Kα (weighted mean of Kα1 and Kα2)
Structure: DFT lattice parameters and positions (GGA-PBE)
Neutral-atom scattering factors, no anomalous dispersion.

Crystal structure
Cell: 9.1869 9.1869 9.1869 Å, 118.85 118.85 92.00°
Fractional coordinates of all 10 atoms:
Cs1 0.0000 0.0000 0.0000
Cs2 0.2500 0.7500 0.5000
Cs3 0.7500 0.2500 0.5000
Se1 0.5000 0.5000 0.0000
I1 0.2712 0.2712 0.5425
I2 0.2712 0.7288 0.0000
I3 0.2818 0.2818 0.0000
I4 0.7182 0.7182 0.0000
I5 0.7288 0.2712 0.0000
I6 0.7288 0.7288 0.4575

Most intense lines, 2θ from 10° to 80°, low angle first:
2θ (°), Rel. int.
19.34, 17
23.60, 100
26.99, 86
27.96, 37
38.53, 31
39.25, 55
45.68, 28
48.28, 28